Diffraction record for Ba2SnAu3. The powder XRD pattern is calculated, not measured: it uses the GGA-PBE geometry in Alexandria and λ = 1.5418 Å (Cu Kα).

Most intense lines, 10° ≤ 2θ ≤ 90°, in order of rising 2θ:
19.42 deg, rel. 187; 19.74 deg, rel. 223; 28.82 deg, rel. 1000; 32.40 deg, rel. 379; 32.60 deg, rel. 316; 37.91 deg, rel. 293; 38.61 deg, rel. 279; 41.84 deg, rel. 400; 51.27 deg, rel. 211; 55.23 deg, rel. 199

Cell: 9.1248 9.1248 9.1248 Å, 150.39 149.85 42.77°
Fractional coordinates of all 6 atoms:
Ba 0.0000 0.0000 0.0000
Ba 0.7353 0.2353 0.5000
Sn 0.4031 0.4031 0.0000
Au 0.1595 0.6595 0.5000
Au 0.3249 0.8249 0.5000
Au 0.5694 0.5694 0.0000